Record 1
# Na2TaBe2O6
Calculated powder diffraction line list, Cu Kα, 1.54184 Å. Input: the PBE geometry in Alexandria.

The 10 most intense peaks (2θ from 10° to 80°), in order of rising 2θ:
| 2θ (°) | d_spacing | I/Imax |
| --- | --- | --- |
| 14.5 | 6.113 | 70 |
| 19.3 | 4.603 | 60 |
| 24.2 | 3.677 | 100 |
| 33.7 | 2.658 | 25 |
| 35.2 | 2.546 | 45 |
| 36.9 | 2.437 | 26 |
| 41.9 | 2.154 | 25 |
| 49.6 | 1.839 | 22 |
| 54.9 | 1.673 | 22 |
| 61.3 | 1.512 | 17 |

Crystal structure
```
11
Lattice="5.3151 0.0000 0.0000 -2.6576 4.6030 0.0000 0.0000 0.0000 6.1135" Properties=species:S:1:pos:R:3 pbc="T T T"
Na 0.0000 3.0687 1.8032
Na 2.6576 1.5343 4.3103
Ta 0.0000 0.0000 0.0000
Be 0.0000 3.0687 4.9485
Be 2.6576 1.5343 1.1650
O -0.3437 1.5827 4.9458
O -1.1150 4.1093 4.9458
O 1.1988 1.0890 1.1677
O 1.4587 3.5140 4.9458
O 3.7726 0.4937 1.1677
O 3.0012 3.0203 1.1677
```

Record 2
# CsCrCu
Calculated powder diffraction line list, Cu Kα, 1.54184 Å. Input: the PBE geometry in Alexandria.

The 10 most intense peaks (2θ from 10° to 80°), in order of rising 2θ:
| 2θ (°) | d_spacing | I/Imax |
| --- | --- | --- |
| 21.0 | 4.227 | 60 |
| 24.5 | 3.636 | 100 |
| 31.6 | 2.829 | 24 |
| 32.8 | 2.732 | 55 |
| 33.3 | 2.689 | 51 |
| 33.8 | 2.649 | 25 |
| 34.7 | 2.586 | 26 |
| 35.6 | 2.524 | 23 |
| 47.0 | 1.935 | 42 |
| 49.0 | 1.859 | 30 |

Crystal structure
```
12
Lattice="9.0428 0.0000 0.0000 0.0000 3.2689 0.0000 0.0000 0.0000 11.9124" Properties=species:S:1:pos:R:3 pbc="T T T"
Cs 0.6959 0.8172 2.1136
Cs 3.8255 2.4517 8.0698
Cs 5.2173 0.8172 3.8426
Cs 8.3469 2.4517 9.7988
Cr 0.5973 0.8172 6.3065
Cr 3.9241 2.4517 0.3503
Cr 5.1188 0.8172 11.5621
Cr 8.4455 2.4517 5.6059
Cu 1.9696 2.4517 5.0414
Cu 2.5518 0.8172 10.9976
Cu 6.4910 2.4517 0.9148
Cu 7.0733 0.8172 6.8710
```